For MnOF2, a GGA+U-relaxed structure gives the computed powder diffraction line list in this record (Cu Ka).
Peak positions follow from Bragg's law for the DFT cell and can differ from measured ones.

Atomic structure:
```
data_MnOF2
_cell_length_a 7.915
_cell_length_b 5.116
_cell_length_c 6.771
_cell_angle_alpha 90.00
_cell_angle_beta 109.50
_cell_angle_gamma 90.00
_symmetry_space_group_name_H-M 'P 1 21/c 1'
_symmetry_Int_Tables_number 14
loop_
_symmetry_equiv_pos_as_xyz
'x,y,z'
'-x,-y,-z'
'-x,y+1/2,-z+1/2'
'x,-y+1/2,z+1/2'
loop_
_atom_site_label
_atom_site_type_symbol
_atom_site_fract_x
_atom_site_fract_y
_atom_site_fract_z
Mn1 Mn 0.174 0.067 0.350
O1 O 0.438 0.587 0.974
F1 F 0.081 0.708 0.245
F2 F 0.240 0.212 0.107
```

Top 8 peaks for 10 to 90 degrees two-theta, sorted by position:
Position (°2θ), intensity, h k l
11.86, 1000, 1 0 0
21.06, 485, 1 1 0
22.27, 994, 0 1 1
22.97, 792, 1 1 -1
26.46, 909, 1 0 -2
27.45, 496, 1 1 1
36.11, 335, 3 0 0
37.89, 301, 0 2 1

---

For Mn6OF11, a GGA+U-relaxed structure gives the computed powder diffraction line list in this record (Cu Ka).
Peak positions follow from Bragg's law for the DFT cell and can differ from measured ones.

Atomic structure:
```
data_Mn6OF11
_cell_length_a 3.304
_cell_length_b 21.176
_cell_length_c 6.913
_cell_angle_alpha 90.00
_cell_angle_beta 90.00
_cell_angle_gamma 90.00
_symmetry_space_group_name_H-M 'A m m 2'
_symmetry_Int_Tables_number 38
loop_
_symmetry_equiv_pos_as_xyz
'x,y,z'
'-x,-y,z'
'-x,y,z'
'x,-y,z'
'x,y+1/2,z+1/2'
'-x,-y+1/2,z+1/2'
'-x,y+1/2,z+1/2'
'x,-y+1/2,z+1/2'
loop_
_atom_site_label
_atom_site_type_symbol
_atom_site_fract_x
_atom_site_fract_y
_atom_site_fract_z
Mn1 Mn 0.000 0.000 0.000
Mn2 Mn 0.000 0.166 0.485
Mn3 Mn 0.500 0.000 0.462
Mn4 Mn 0.500 0.167 0.984
O1 O 0.000 0.000 0.290
F1 F 0.000 0.000 0.681
F2 F 0.000 0.167 0.179
F3 F 0.000 0.167 0.790
F4 F 0.500 0.064 0.982
F5 F 0.500 0.102 0.489
F6 F 0.500 0.232 0.484
```

Top 8 peaks for 10 to 90 degrees two-theta, sorted by position:
Position (°2θ), intensity, h k l
25.23, 999, 0 6 0
25.77, 954, 0 0 2
32.61, 1000, 1 3 1
37.28, 220, 1 6 0
49.34, 685, 1 9 1
49.95, 623, 1 3 3
55.64, 222, 2 0 0
63.09, 495, 1 9 3

---

For Mn5O3F5, a GGA+U-relaxed structure gives the computed powder diffraction line list in this record (Cu Ka).
Peak positions follow from Bragg's law for the DFT cell and can differ from measured ones.

Atomic structure:
```
data_Mn5O3F5
_cell_length_a 6.4315
_cell_length_b 6.4315
_cell_length_c 31.0196
_cell_angle_alpha 90.00
_cell_angle_beta 90.00
_cell_angle_gamma 120.00
_symmetry_space_group_name_H-M 'R 3 m'
_symmetry_Int_Tables_number 160
_symmetry_space_group_name_Hall 'R 3 -2"'
loop_
_atom_site_label
_atom_site_type_symbol
_atom_site_fract_x
_atom_site_fract_y
_atom_site_fract_z
Mn1 Mn 0.0000 0.0000 0.0000
Mn2 Mn 0.0000 0.0000 0.1951
Mn3 Mn 0.0000 0.0000 0.4993
Mn4 Mn 0.0000 0.0000 0.6951
Mn5 Mn 0.0028 0.5014 0.7436
Mn6 Mn 0.0030 0.5015 0.2439
O1 O 0.1797 0.3594 0.7098
O2 O 0.1825 0.3650 0.2108
F1 F 0.0000 0.0000 0.1226
F2 F 0.0000 0.0000 0.3763
F3 F 0.0000 0.0000 0.6240
F4 F 0.0000 0.0000 0.8762
F5 F 0.0489 0.5245 0.1164
F6 F 0.0516 0.5258 0.6165
```

Top 8 peaks for 10 to 90 degrees two-theta, sorted by position:
Position (°2θ), intensity, h k l
16.91, 817, 0 1 2
17.15, 581, 0 0 6
32.67, 447, 2 0 2
32.80, 772, 1 1 6
33.05, 348, 1 0 10
39.85, 1000, 2 0 8
57.30, 501, 2 2 0
57.96, 386, 0 2 16